Entry 1:
# Cs2PmNdO4
Calculated powder XRD pattern, CuKα. Input: a DFT-relaxed cell (GGA-PBE, Alexandria).
Neutral-atom scattering factors, no anomalous dispersion.

Atomic structure:
Unit cell a=6.3930 b=3.6910 c=7.2680 alpha=90.00 beta=107.06 gamma=90.00
Space group P2/m (No. 10)
Asymmetric unit:
Cs 0.0000 0.0000 0.0000
Cs 0.5000 0.5000 0.0000
Pm 0.0000 0.5000 0.5000
Nd 0.5000 0.0000 0.5000
O 0.2211 0.0000 0.6690
O 0.2749 0.5000 0.3308

Largest 10 diffraction maxima, by angle, 2θ = 10–90°:
- hkl 0 0 2, 25.64 deg, I = 46
- hkl 2 0 0, 29.22 deg, I = 88
- hkl 1 1 1, 32.87 deg, I = 100
- hkl 2 0 2, 44.88 deg, I = 36
- hkl 0 2 0, 49.38 deg, I = 32
- hkl 1 1 3, 52.40 deg, I = 23
- hkl 3 1 1, 56.46 deg, I = 32
- hkl 4 0 0, 60.60 deg, I = 16
- hkl 3 1 3, 75.10 deg, I = 14
- hkl 4 2 0, 81.84 deg, I = 14

Entry 2:
# Cs2NdPtO4
Calculated powder XRD pattern, CuKα. Input: a DFT-relaxed cell (GGA-PBE, Alexandria).
Neutral-atom scattering factors, no anomalous dispersion.

Atomic structure:
Unit cell a=6.3610 b=14.6772 c=24.1393 alpha=90.00 beta=90.00 gamma=90.00
Space group Fddd (No. 70, origin choice 2)
Asymmetric unit:
Cs 0.1250 0.1250 0.3098
Nd 0.1250 0.1250 0.1250
Pt 0.1250 0.1250 0.6250
O 0.1002 0.2783 0.8741

Largest 10 diffraction maxima, by angle, 2θ = 10–90°:
- hkl 0 2 2, 14.12 deg, I = 40
- hkl 0 0 4, 14.68 deg, I = 86
- hkl 1 1 3, 18.78 deg, I = 58
- hkl 0 4 0, 24.26 deg, I = 51
- hkl 0 2 6, 25.24 deg, I = 100
- hkl 1 3 3, 25.50 deg, I = 26
- hkl 2 2 0, 30.64 deg, I = 63
- hkl 2 0 6, 36.00 deg, I = 28
- hkl 0 2 10, 39.29 deg, I = 25
- hkl 2 4 6, 43.88 deg, I = 49

Entry 3:
# Cs2NdPu3O12
Calculated powder XRD pattern, CuKα. Input: a DFT-relaxed cell (GGA-PBE, Alexandria).
Neutral-atom scattering factors, no anomalous dispersion.

Atomic structure:
Unit cell a=8.0300 b=8.0300 c=18.9965 alpha=90.00 beta=90.00 gamma=120.00
Space group R-3m (No. 166, hexagonal axes)
Asymmetric unit:
Cs 0.0000 0.0000 0.1198
Nd 0.0000 0.0000 0.5000
Pu 0.0000 0.5000 0.0000
O 0.0439 0.5220 0.1008
O 0.0822 0.5411 0.3457

Largest 10 diffraction maxima, by angle, 2θ = 10–90°:
- hkl 1 0 1, 13.56 deg, I = 39
- hkl 0 0 3, 13.99 deg, I = 44
- hkl 0 2 1, 26.05 deg, I = 92
- hkl 1 1 3, 26.28 deg, I = 90
- hkl 0 1 5, 26.74 deg, I = 49
- hkl 2 0 2, 27.31 deg, I = 100
- hkl 0 0 6, 28.19 deg, I = 27
- hkl 3 0 3, 41.48 deg, I = 30
- hkl 2 2 0, 45.17 deg, I = 52
- hkl 2 0 8, 46.30 deg, I = 42

Entry 4:
# Cs3Nd3RuO8
Calculated powder XRD pattern, CuKα. Input: a DFT-relaxed cell (GGA-PBE, Alexandria).
Neutral-atom scattering factors, no anomalous dispersion.

Atomic structure:
Unit cell a=7.1196 b=7.1196 c=20.8383 alpha=90.00 beta=90.00 gamma=120.00
Space group R-3m (No. 166, hexagonal axes)
Asymmetric unit:
Cs 0.0000 0.5000 0.0000
Nd 0.0000 0.5000 0.5000
Ru 0.0000 0.0000 0.5000
O 0.0000 0.0000 0.2227
O 0.0359 0.5179 0.2184

Largest 10 diffraction maxima, by angle, 2θ = 10–90°:
- hkl 0 0 3, 12.74 deg, I = 17
- hkl 0 1 2, 16.71 deg, I = 15
- hkl 0 0 6, 25.65 deg, I = 50
- hkl 2 0 2, 30.23 deg, I = 83
- hkl 0 2 4, 33.78 deg, I = 100
- hkl 2 0 8, 45.59 deg, I = 36
- hkl 2 2 0, 51.33 deg, I = 31
- hkl 0 2 10, 53.05 deg, I = 27
- hkl 2 2 6, 58.25 deg, I = 31
- hkl 4 0 4, 62.87 deg, I = 15